(1)
This entry pairs a crystal structure of RbMg14V with its calculated XRD peak list. Radiation: a wavelength of 1.5418 Å. Structure: DFT lattice parameters and positions (GGA-PBE).

Structure:
Cell lengths 6.5432, 6.5432, 10.5191 Å; angles 90.00, 90.00, 120.00 degrees
Space group P-6m2 (No. 187)
Unique sites:
Rb1 0.0000 0.0000 0.0000 [1 per cell]
Mg1 0.0103 0.5052 0.0000 [3 per cell]
Mg2 0.1682 0.3364 0.2711 [6 per cell]
Mg3 0.5033 0.0065 0.5000 [3 per cell]
Mg4 0.6667 0.3333 0.2431 [2 per cell]
V1 0.0000 0.0000 0.5000 [1 per cell]

The 12 most intense peaks (10 to 90 degrees two-theta), by intensity:
2θ/deg  I/Imax  (hkl)
36.0  100  2 0 2
31.6  26  2 0 0
34.1  24  0 0 4
67.4  18  2 2 4
56.2  17  2 2 0
62.3  16  2 0 6
47.2  16  2 0 4
15.6  15  1 0 0
68.6  14  4 0 2
23.1  14  1 0 2
88.8  6  4 0 6
32.2  5  1 1 2

=====

(2)
This entry pairs a crystal structure of RbMg14V with its calculated XRD peak list. Radiation: a wavelength of 1.5418 Å. Structure: DFT lattice parameters and positions (GGA-PBE).

Structure:
Cell lengths 10.611, 6.575, 11.188 Å; angles 90.00, 90.00, 90.00 degrees
Space group Amm2 (No. 38)
Unique sites:
Rb1 0.000 0.000 0.000 [2 per cell]
Mg1 0.000 0.248 0.250 [4 per cell]
Mg2 0.242 0.000 0.664 [4 per cell]
Mg3 0.260 0.237 0.415 [8 per cell]
Mg4 0.266 0.000 0.172 [4 per cell]
Mg5 0.500 0.000 0.500 [2 per cell]
Mg6 0.500 0.000 0.999 [2 per cell]
Mg7 0.500 0.248 0.750 [4 per cell]
V1 0.000 0.000 0.495 [2 per cell]

The 12 most intense peaks (10 to 90 degrees two-theta), by intensity:
2θ/deg  I/Imax  (hkl)
35.9  100  2 2 2
36.3  48  2 0 4
33.8  38  4 0 0
31.6  25  0 2 2
67.7  18  4 2 6
61.8  18  6 2 2
56.8  17  0 2 6
46.9  16  4 2 2
32.0  16  0 0 4
68.5  13  2 4 4
17.9  11  1 0 2
67.0  11  4 4 0

=====

(3)
This entry pairs a crystal structure of RbMg6W with its calculated XRD peak list. Radiation: a wavelength of 1.5418 Å. Structure: DFT lattice parameters and positions (GGA-PBE).

Structure:
Cell lengths 6.741, 6.741, 4.349 Å; angles 90.00, 90.00, 90.00 degrees
Space group P4/mmm (No. 123)
Unique sites:
Rb1 0.000 0.000 0.000 [1 per cell]
Mg1 0.000 0.500 0.000 [2 per cell]
Mg2 0.292 0.292 0.500 [4 per cell]
W1 0.500 0.500 0.000 [1 per cell]

The 12 most intense peaks (10 to 90 degrees two-theta), by intensity:
2θ/deg  I/Imax  (hkl)
33.6  100  2 0 1
18.6  63  1 1 0
27.8  43  1 1 1
13.1  41  1 0 0
37.7  34  2 2 0
26.4  29  2 0 0
47.5  25  3 1 1
20.4  24  0 0 1
65.5  22  4 2 1
70.7  20  2 0 3
57.4  20  2 2 2
43.3  17  2 2 1

=====

(4)
This entry pairs a crystal structure of RbMg6W with its calculated XRD peak list. Radiation: a wavelength of 1.5418 Å. Structure: DFT lattice parameters and positions (GGA-PBE).

Structure:
Cell lengths 6.4407, 6.4407, 5.1178 Å; angles 90.00, 90.00, 120.00 degrees
Space group P-6m2 (No. 187)
Unique sites:
Rb1 0.0000 0.0000 0.0000 [1 per cell]
Mg1 0.0373 0.5186 0.0000 [3 per cell]
Mg2 0.3530 0.1765 0.5000 [3 per cell]
W1 0.3333 0.6667 0.5000 [1 per cell]

The 12 most intense peaks (10 to 90 degrees two-theta), by intensity:
2θ/deg  I/Imax  (hkl)
36.7  100  2 0 1
23.6  81  1 0 1
15.9  61  1 0 0
27.7  38  1 1 0
46.6  34  2 1 1
32.1  27  2 0 0
35.1  25  0 0 2
45.3  20  1 1 2
64.0  19  2 0 3
68.9  19  2 2 2
48.3  17  2 0 2
57.2  17  2 2 0

=====

(5)
This entry pairs a crystal structure of RbYMg6 with its calculated XRD peak list. Radiation: a wavelength of 1.5418 Å. Structure: DFT lattice parameters and positions (GGA-PBE).

Structure:
Cell lengths 5.472, 7.057, 11.765 Å; angles 90.00, 90.00, 90.00 degrees
Space group Amm2 (No. 38)
Unique sites:
Rb1 0.000 0.000 0.000 [2 per cell]
Y1 0.500 0.000 0.201 [2 per cell]
Mg1 0.000 0.000 0.517 [2 per cell]
Mg2 0.000 0.235 0.262 [4 per cell]
Mg3 0.500 0.000 0.694 [2 per cell]
Mg4 0.500 0.234 0.438 [4 per cell]

The 12 most intense peaks (10 to 90 degrees two-theta), by intensity:
2θ/deg  I/Imax  (hkl)
33.9  100  1 2 2
14.6  40  0 1 1
32.7  32  2 0 0
34.6  26  1 0 4
22.2  24  1 0 2
30.4  20  0 0 4
21.9  20  1 1 1
30.8  19  1 1 3
59.1  19  3 2 2
64.1  13  2 2 6
45.3  13  2 0 4
53.5  12  0 2 6

=====

(6)
This entry pairs a crystal structure of RbYMg6 with its calculated XRD peak list. Radiation: a wavelength of 1.5418 Å. Structure: DFT lattice parameters and positions (GGA-PBE).

Structure:
Cell lengths 5.381, 7.323, 11.847 Å; angles 90.00, 90.00, 90.00 degrees
Space group Amm2 (No. 38)
Unique sites:
Rb1 0.000 0.000 0.000 [2 per cell]
Y1 0.000 0.000 0.508 [2 per cell]
Mg1 0.000 0.245 0.248 [4 per cell]
Mg2 0.500 0.000 0.330 [2 per cell]
Mg3 0.500 0.000 0.812 [2 per cell]
Mg4 0.500 0.226 0.595 [4 per cell]

The 12 most intense peaks (10 to 90 degrees two-theta), by intensity:
2θ/deg  I/Imax  (hkl)
33.3  100  2 0 0
34.6  32  1 0 4
28.7  25  0 2 2
22.3  23  1 0 2
15.0  19  0 0 2
16.5  19  1 0 0
44.5  14  2 2 2
59.5  13  3 2 2
63.8  12  2 2 6
30.2  12  0 0 4
52.7  11  0 2 6
62.0  10  1 4 4

=====

(7)
This entry pairs a crystal structure of RbMg6Zn with its calculated XRD peak list. Radiation: a wavelength of 1.5418 Å. Structure: DFT lattice parameters and positions (GGA-PBE).

Structure:
Cell lengths 5.218, 7.041, 11.737 Å; angles 90.00, 90.00, 90.00 degrees
Space group Amm2 (No. 38)
Unique sites:
Rb1 0.000 0.000 0.000 [2 per cell]
Mg1 0.000 0.000 0.493 [2 per cell]
Mg2 0.000 0.241 0.248 [4 per cell]
Mg3 0.500 0.000 0.664 [2 per cell]
Mg4 0.500 0.219 0.399 [4 per cell]
Zn1 0.500 0.000 0.189 [2 per cell]

The 12 most intense peaks (10 to 90 degrees two-theta), by intensity:
2θ/deg  I/Imax  (hkl)
34.3  100  2 0 0
35.1  29  1 0 4
14.7  28  0 1 1
22.8  18  1 0 2
22.5  16  1 1 1
29.6  15  0 2 2
61.5  13  3 2 2
31.3  13  1 1 3
65.2  11  2 2 6
30.5  10  0 0 4
53.6  10  0 2 6
46.0  9  2 2 2

=====

(8)
This entry pairs a crystal structure of RbMg14Zn with its calculated XRD peak list. Radiation: a wavelength of 1.5418 Å. Structure: DFT lattice parameters and positions (GGA-PBE).

Structure:
Cell lengths 10.614, 6.526, 11.395 Å; angles 90.00, 90.00, 90.00 degrees
Space group Amm2 (No. 38)
Unique sites:
Rb1 0.000 0.000 0.000 [2 per cell]
Mg1 0.000 0.240 0.253 [4 per cell]
Mg2 0.239 0.000 0.659 [4 per cell]
Mg3 0.264 0.240 0.410 [8 per cell]
Mg4 0.268 0.000 0.169 [4 per cell]
Mg5 0.500 0.000 0.497 [2 per cell]
Mg6 0.500 0.000 0.996 [2 per cell]
Mg7 0.500 0.246 0.746 [4 per cell]
Zn1 0.000 0.000 0.480 [2 per cell]

The 12 most intense peaks (10 to 90 degrees two-theta), by intensity:
2θ/deg  I/Imax  (hkl)
35.9  100  2 2 2
35.8  49  2 0 4
33.8  38  4 0 0
31.6  26  0 2 2
67.0  18  4 2 6
61.8  17  6 2 2
46.9  17  4 2 2
56.0  16  0 2 6
17.7  15  1 0 2
31.4  14  0 0 4
68.6  13  2 4 4
22.9  11  2 0 2